Entry 1:
Diffraction record for CsPdCl. The powder diffraction line list is theoretical, not measured: it uses DFT lattice parameters and positions (PBE) and Cu Kα (λ = 1.5418 Å).
Kinematic intensities with the Lorentz-polarization factor, no thermal factor.

Structure:
Cell: 5.623 10.010 7.788 Å, 90.00 90.00 90.00°
Space group Imm2 (No. 44)
Inequivalent atoms, fractional coordinates:
Cs 0.000 0.247 0.000
Pd 0.250 0.000 0.258
Cl 0.000 0.000 0.510
Cl 0.000 0.500 0.506

Main lines, in order of rising 2θ (2θ from 10° to 90°):
(0 1 1), 2θ = 14.41°, intensity 89; (1 0 1), 2θ = 19.47°, intensity 31; (1 2 1), 2θ = 26.44°, intensity 100; (0 2 2), 2θ = 29.07°, intensity 74; (2 0 2), 2θ = 39.53°, intensity 45; (2 4 2), 2θ = 54.45°, intensity 34

Entry 2:
Diffraction record for Th6BBr15. The powder diffraction line list is theoretical, not measured: it uses DFT lattice parameters and positions (PBE) and Cu Kα (λ = 1.5418 Å).
Kinematic intensities with the Lorentz-polarization factor, no thermal factor.

Structure:
Cell: 11.592 11.592 11.592 Å, 90.00 90.00 90.00°
Space group Im-3m (No. 229)
Inequivalent atoms, fractional coordinates:
Th 0.000 0.000 0.235
B 0.000 0.000 0.000
Br 0.000 0.000 0.500
Br 0.000 0.251 0.251

Main lines, in order of rising 2θ (2θ from 10° to 90°):
(1 1 0), 2θ = 10.79°, intensity 68; (2 1 1), 2θ = 18.75°, intensity 36; (3 2 1), 2θ = 28.82°, intensity 52; (4 0 0), 2θ = 30.86°, intensity 100; (4 4 0), 2θ = 44.20°, intensity 73; (8 4 0), 2θ = 73.00°, intensity 31

Entry 3:
Diffraction record for Pd6Pt5Rh. The powder diffraction line list is theoretical, not measured: it uses DFT lattice parameters and positions (PBE) and Cu Kα (λ = 1.5418 Å).
Kinematic intensities with the Lorentz-polarization factor, no thermal factor.

Structure:
Cell: 3.937 7.868 11.873 Å, 90.00 90.00 90.00°
Space group Immm (No. 71)
Inequivalent atoms, fractional coordinates:
Pd 0.000 0.248 0.000
Pd 0.000 0.251 0.334
Pt 0.000 0.000 0.165
Pt 0.000 0.000 0.500
Pt 0.000 0.500 0.166
Rh 0.000 0.500 0.500

Main lines, in order of rising 2θ (2θ from 10° to 90°):
(1 2 3), 2θ = 39.59°, intensity 100; (0 0 6), 2θ = 45.86°, intensity 16; (2 0 0), 2θ = 46.13°, intensity 32; (2 0 6), 2θ = 67.08°, intensity 21; (1 2 9), 2θ = 80.59°, intensity 13; (3 2 3), 2θ = 80.98°, intensity 25

Entry 4:
Diffraction record for SrLa8Co4. The powder diffraction line list is theoretical, not measured: it uses DFT lattice parameters and positions (PBE) and Cu Kα (λ = 1.5418 Å).
Kinematic intensities with the Lorentz-polarization factor, no thermal factor.

Structure:
Cell: 14.166 14.166 4.171 Å, 90.00 90.00 90.00°
Space group I4/m (No. 87)
Inequivalent atoms, fractional coordinates:
Sr 0.000 0.000 0.000
La 0.044 0.664 0.000
La 0.151 0.197 0.500
Co 0.150 0.328 0.000

Main lines, in order of rising 2θ (2θ from 10° to 90°):
(3 3 0), 2θ = 26.70°, intensity 24; (2 4 0), 2θ = 28.17°, intensity 19; (3 0 1), 2θ = 28.55°, intensity 100; (5 1 0), 2θ = 32.22°, intensity 22; (6 0 0), 2θ = 38.11°, intensity 17; (5 4 1), 2θ = 46.46°, intensity 40

Entry 5:
Diffraction record for AlW2Se. The powder diffraction line list is theoretical, not measured: it uses DFT lattice parameters and positions (PBE) and Cu Kα (λ = 1.5418 Å).
Kinematic intensities with the Lorentz-polarization factor, no thermal factor.

Structure:
Cell: 3.230 3.230 6.072 Å, 90.00 90.00 90.00°
Space group P4mm (No. 99)
Inequivalent atoms, fractional coordinates:
Al 0.000 0.000 0.000
W 0.000 0.000 0.501
W 0.500 0.500 0.781
Se 0.500 0.500 0.282

Main lines, in order of rising 2θ (2θ from 10° to 90°):
(0 0 1), 2θ = 14.59°, intensity 40; (1 0 1), 2θ = 31.37°, intensity 38; (1 1 0), 2θ = 39.45°, intensity 57; (1 0 2), 2θ = 40.79°, intensity 100; (2 0 0), 2θ = 57.02°, intensity 20; (2 1 2), 2θ = 72.45°, intensity 37

Entry 6:
Diffraction record for Cd8Ag3Pd. The powder diffraction line list is theoretical, not measured: it uses DFT lattice parameters and positions (PBE) and Cu Kα (λ = 1.5418 Å).
Kinematic intensities with the Lorentz-polarization factor, no thermal factor.

Structure:
Cell: 10.944 8.112 6.880 Å, 90.00 116.58 90.00°
Space group Cm (No. 8)
Inequivalent atoms, fractional coordinates:
Cd 0.000 0.000 0.000
Cd 0.020 0.500 0.102
Cd 0.072 0.000 0.483
Cd 0.108 0.302 0.786
Cd 0.245 0.500 0.529
Cd 0.362 0.186 0.328
Ag 0.294 0.500 0.139
Ag 0.334 0.186 0.718
Pd 0.235 0.000 0.958

Main lines, in order of rising 2θ (2θ from 10° to 90°):
(0 2 1), 2θ = 26.32°, intensity 36; (1 3 0), 2θ = 34.41°, intensity 46; (4 0 -2), 2θ = 35.20°, intensity 61; (0 2 2), 2θ = 36.68°, intensity 100; (3 1 1), 2θ = 38.20°, intensity 32; (4 2 0), 2θ = 43.18°, intensity 49

Repeat the first record exactly.
Diffraction record for CsPdCl. The powder diffraction line list is theoretical, not measured: it uses DFT lattice parameters and positions (PBE) and Cu Kα (λ = 1.5418 Å).
Kinematic intensities with the Lorentz-polarization factor, no thermal factor.

Structure:
Cell: 5.623 10.010 7.788 Å, 90.00 90.00 90.00°
Space group Imm2 (No. 44)
Inequivalent atoms, fractional coordinates:
Cs 0.000 0.247 0.000
Pd 0.250 0.000 0.258
Cl 0.000 0.000 0.510
Cl 0.000 0.500 0.506

Main lines, in order of rising 2θ (2θ from 10° to 90°):
(0 1 1), 2θ = 14.41°, intensity 89; (1 0 1), 2θ = 19.47°, intensity 31; (1 2 1), 2θ = 26.44°, intensity 100; (0 2 2), 2θ = 29.07°, intensity 74; (2 0 2), 2θ = 39.53°, intensity 45; (2 4 2), 2θ = 54.45°, intensity 34